The following is a theoretical XRD peak list of Pr2Mo3O12. It was derived from the GGA+U geometry in Alexandria, using Cu Ka.
Neutral-atom scattering factors, no anomalous dispersion.

```
Pr2Mo3O12
1.0
7.6819 0.0000 0.0000
0.0000 7.6819 0.0000
0.0000 0.0000 11.0429
Pr Mo O
4 6 24
Direct
0.1901 0.3099 0.2633 Pr
0.3099 0.8099 0.7367 Pr
0.6901 0.1901 0.7367 Pr
0.8099 0.6901 0.2633 Pr
0.0000 0.0000 0.0000 Mo
0.2092 0.2908 0.6445 Mo
0.2908 0.7908 0.3555 Mo
0.5000 0.5000 0.0000 Mo
0.7092 0.2092 0.3555 Mo
0.7908 0.7092 0.6445 Mo
0.0022 0.2262 0.7022 O
0.0462 0.1842 0.0943 O
0.1284 0.6284 0.3094 O
0.1842 0.9538 0.9057 O
0.1982 0.3018 0.4835 O
0.2262 0.9978 0.2978 O
0.2738 0.4978 0.7022 O
0.3018 0.8018 0.5165 O
0.3158 0.4538 0.0943 O
0.3716 0.1284 0.6906 O
0.4538 0.6842 0.9057 O
0.4978 0.7262 0.2978 O
0.5022 0.2738 0.2978 O
0.5462 0.3158 0.9057 O
0.6284 0.8716 0.6906 O
0.6842 0.5462 0.0943 O
0.6982 0.1982 0.5165 O
0.7262 0.5022 0.7022 O
0.7738 0.0022 0.2978 O
0.8018 0.6982 0.4835 O
0.8158 0.0462 0.9057 O
0.8716 0.3716 0.3094 O
0.9538 0.8158 0.0943 O
0.9978 0.7738 0.7022 O
```

Most intense lines, 10° ≤ 2θ ≤ 90°, sorted by position:
16.1°, I 61.1; 18.2°, I 82.3; 23.0°, I 81.9; 23.2°, I 74.9; 24.2°, I 55.6; 24.5°, I 92.1; 25.9°, I 96.2; 28.3°, I 100.0; 29.3°, I 72.9; 30.6°, I 51.0; 43.0°, I 45.9; 44.3°, I 54.9